Record 1
AlCr3Ge: computed powder X-ray diffraction pattern (copper Kα), based on a structure optimized by DFT (PBE).
Lines closer than 0.1° are merged.

The 8 most intense peaks (2θ = 15–90°), low angle first:
19.50°, rel. 95, hkl 1 0 0; 27.72°, rel. 18, hkl 1 1 0; 34.12°, rel. 38, hkl 1 1 1; 39.61°, rel. 100, hkl 2 0 0; 44.52°, rel. 43, hkl 2 1 0; 57.26°, rel. 63, hkl 2 2 0; 61.08°, rel. 19, hkl 3 0 0; 71.86°, rel. 20, hkl 2 2 2

```
data_AlCr3Ge
_symmetry_space_group_name_H-M 'P m -3 m'
_symmetry_Int_Tables_number 221
_symmetry_space_group_name_Hall '-P 4 2 3'
_cell_length_a 4.5511
_cell_length_b 4.5511
_cell_length_c 4.5511
_cell_angle_alpha 90.00
_cell_angle_beta 90.00
_cell_angle_gamma 90.00
loop_
_atom_site_label
_atom_site_type_symbol
_atom_site_fract_x
_atom_site_fract_y
_atom_site_fract_z
Al1 Al 0.0000 0.0000 0.0000
Cr1 Cr 0.0000 0.5000 0.5000
Ge1 Ge 0.5000 0.5000 0.5000
```

---

Record 2
AlCrH3: computed powder X-ray diffraction pattern (copper Kα), based on a structure optimized by DFT (PBE).
Lines closer than 0.1° are merged.

The 8 most intense peaks (2θ = 15–90°), low angle first:
21.12°, rel. 43, hkl 0 0 3; 27.49°, rel. 55, hkl 0 1 2; 41.33°, rel. 100, hkl 1 1 0; 43.08°, rel. 83, hkl 0 1 5; 46.87°, rel. 30, hkl 1 1 3; 61.23°, rel. 31, hkl 2 0 5; 75.36°, rel. 15, hkl 3 0 0; 76.58°, rel. 27, hkl 1 2 5

```
data_AlCrH3
_symmetry_space_group_name_H-M 'R -3 m'
_symmetry_Int_Tables_number 166
_symmetry_space_group_name_Hall '-R 3 2"'
_cell_length_a 4.3687
_cell_length_b 4.3687
_cell_length_c 12.6196
_cell_angle_alpha 90.00
_cell_angle_beta 90.00
_cell_angle_gamma 120.00
loop_
_atom_site_label
_atom_site_type_symbol
_atom_site_fract_x
_atom_site_fract_y
_atom_site_fract_z
Al1 Al 0.0000 0.0000 0.1044
Cr1 Cr 0.0000 0.0000 0.3085
H1 H 0.0291 0.5145 0.0963
```